Entry 1:
This entry pairs a crystal structure of Pr7TmPb4 with its theoretical powder diffraction line list. Radiation: λ = 1.5418 Å (Cu Kα). Structure: a crystal structure in Alexandria, relaxed with GGA-PBE.
Peak positions follow from Bragg's law for the DFT cell and can differ from measured ones.

Main lines, in order of rising 2θ (10° ≤ 2θ ≤ 90°):
hkl  Position (°2θ)  Rel. int.
4 0 -3  27.18  74
1 1 2  28.61  49
0 2 0  29.66  100
3 1 1  32.63  73
2 0 -4  32.81  28
5 1 -3  34.94  34
5 1 -1  35.99  43
1 1 -4  38.45  32
4 2 -3  40.66  51
2 2 -4  44.81  24

Structure:
```
data_Pr7TmPb4
_chemical_formula_sum 'Pr14 Tm2 Pb8'
_space_group_name_H-M_alt 'C 1 2/m 1'
_space_group_IT_number 12
_space_group_name_Hall '-C 2y'
_cell_length_a 14.662
_cell_length_b 6.024
_cell_length_c 11.209
_cell_angle_alpha 90.00
_cell_angle_beta 124.92
_cell_angle_gamma 90.00
loop_
_atom_site_label
_atom_site_type_symbol
_atom_site_fract_x
_atom_site_fract_y
_atom_site_fract_z
Pr1 Pr 0.000 0.000 0.000
Pr2 Pr 0.054 0.500 0.370
Pr3 Pr 0.198 0.000 0.624
Pr4 Pr 0.207 0.500 0.893
Tm1 Tm 0.000 0.500 0.000
Pb1 Pb 0.063 0.000 0.759
Pb2 Pb 0.201 0.000 0.329
```


Entry 2:
This entry pairs a crystal structure of Pr6TmPb10 with its theoretical powder diffraction line list. Radiation: λ = 1.5418 Å (Cu Kα). Structure: a crystal structure in Alexandria, relaxed with GGA-PBE.
Peak positions follow from Bragg's law for the DFT cell and can differ from measured ones.

Main lines, in order of rising 2θ (10° ≤ 2θ ≤ 90°):
hkl  Position (°2θ)  Rel. int.
2 1 0  28.31  19
3 -1 1  31.45  88
3 0 0  32.20  66
1 1 2  32.91  100
4 -2 2  46.70  27
3 2 1  49.61  17
3 -1 3  50.60  13
4 -1 3  57.85  18
2 -1 4  59.22  13
6 -1 1  63.69  15

Structure:
```
data_Pr6TmPb10
_chemical_formula_sum 'Pr6 Tm1 Pb10'
_space_group_name_H-M_alt 'P -3 1 m'
_space_group_IT_number 162
_space_group_name_Hall '-P 3 2'
_cell_length_a 9.6304
_cell_length_b 9.6304
_cell_length_c 6.5994
_cell_angle_alpha 90.00
_cell_angle_beta 90.00
_cell_angle_gamma 120.00
loop_
_atom_site_label
_atom_site_type_symbol
_atom_site_fract_x
_atom_site_fract_y
_atom_site_fract_z
Pr1 Pr 0.0000 0.3892 0.2632
Tm1 Tm 0.0000 0.0000 0.5000
Pb1 Pb 0.0000 0.2541 0.7969
Pb2 Pb 0.3333 0.6667 0.0000
Pb3 Pb 0.3333 0.6667 0.5000
```


Entry 3:
This entry pairs a crystal structure of Pr3Tm2Pb3 with its theoretical powder diffraction line list. Radiation: λ = 1.5418 Å (Cu Kα). Structure: a crystal structure in Alexandria, relaxed with GGA-PBE.
Peak positions follow from Bragg's law for the DFT cell and can differ from measured ones.

Main lines, in order of rising 2θ (10° ≤ 2θ ≤ 90°):
hkl  Position (°2θ)  Rel. int.
1 1 4  31.41  100
0 0 8  32.54  20
0 2 0  35.63  19
2 0 0  40.72  13
0 2 8  49.01  14
2 2 0  55.20  11
1 1 12  57.36  14
1 3 4  61.37  15
2 2 8  65.56  12
3 1 4  68.34  11

Structure:
```
data_Pr3Tm2Pb3
_chemical_formula_sum 'Pr6 Tm4 Pb6'
_space_group_name_H-M_alt 'I m m m'
_space_group_IT_number 71
_space_group_name_Hall '-I 2 2'
_cell_length_a 4.431
_cell_length_b 5.040
_cell_length_c 22.013
_cell_angle_alpha 90.00
_cell_angle_beta 90.00
_cell_angle_gamma 90.00
loop_
_atom_site_label
_atom_site_type_symbol
_atom_site_fract_x
_atom_site_fract_y
_atom_site_fract_z
Pr1 Pr 0.000 0.000 0.000
Pr2 Pr 0.000 0.500 0.121
Tm1 Tm 0.000 0.000 0.246
Pb1 Pb 0.000 0.000 0.500
Pb2 Pb 0.000 0.500 0.361
```


Entry 4:
This entry pairs a crystal structure of Pr2VPb with its theoretical powder diffraction line list. Radiation: λ = 1.5418 Å (Cu Kα). Structure: a crystal structure in Alexandria, relaxed with GGA-PBE.
Peak positions follow from Bragg's law for the DFT cell and can differ from measured ones.

Main lines, in order of rising 2θ (10° ≤ 2θ ≤ 90°):
hkl  Position (°2θ)  Rel. int.
0 1 2  30.58  100
0 0 12  31.03  60
0 1 5  32.85  86
1 0 7  35.29  69
1 0 10  40.04  51
0 1 14  47.92  27
1 1 0  53.51  39
0 1 17  54.70  21
1 1 12  63.15  47
1 1 24  88.71  19

Structure:
```
data_Pr2VPb
_chemical_formula_sum 'Pr6 V3 Pb3'
_space_group_name_H-M_alt 'R -3 m'
_space_group_IT_number 166
_space_group_name_Hall '-R 3 2"'
_cell_length_a 3.4250
_cell_length_b 3.4250
_cell_length_c 34.5899
_cell_angle_alpha 90.00
_cell_angle_beta 90.00
_cell_angle_gamma 120.00
loop_
_atom_site_label
_atom_site_type_symbol
_atom_site_fract_x
_atom_site_fract_y
_atom_site_fract_z
Pr1 Pr 0.0000 0.0000 0.0839
V1 V 0.0000 0.0000 0.0000
Pb1 Pb 0.0000 0.0000 0.5000
```


Entry 5:
This entry pairs a crystal structure of Pr3YPb5 with its theoretical powder diffraction line list. Radiation: λ = 1.5418 Å (Cu Kα). Structure: a crystal structure in Alexandria, relaxed with GGA-PBE.
Peak positions follow from Bragg's law for the DFT cell and can differ from measured ones.

Main lines, in order of rising 2θ (10° ≤ 2θ ≤ 90°):
hkl  Position (°2θ)  Rel. int.
2 1 1  31.01  48
3 0 0  31.72  90
1 1 2  32.52  100
3 1 1  40.75  14
2 2 2  46.06  30
2 1 3  49.97  13
4 1 2  57.02  27
5 1 1  62.69  13
3 0 4  64.99  23
5 1 3  75.80  14

Structure:
```
data_Pr3YPb5
_chemical_formula_sum 'Pr6 Y2 Pb10'
_space_group_name_H-M_alt 'P 63/m c m'
_space_group_IT_number 193
_space_group_name_Hall '-P 6c 2'
_cell_length_a 9.7725
_cell_length_b 9.7725
_cell_length_c 6.6665
_cell_angle_alpha 90.00
_cell_angle_beta 90.00
_cell_angle_gamma 120.00
loop_
_atom_site_label
_atom_site_type_symbol
_atom_site_fract_x
_atom_site_fract_y
_atom_site_fract_z
Pr1 Pr 0.0000 0.3819 0.2500
Y1 Y 0.0000 0.0000 0.0000
Pb1 Pb 0.0000 0.2824 0.7500
Pb2 Pb 0.3333 0.6667 0.0000
```


Entry 6:
This entry pairs a crystal structure of Pr3YPb with its theoretical powder diffraction line list. Radiation: λ = 1.5418 Å (Cu Kα). Structure: a crystal structure in Alexandria, relaxed with GGA-PBE.
Peak positions follow from Bragg's law for the DFT cell and can differ from measured ones.

Main lines, in order of rising 2θ (10° ≤ 2θ ≤ 90°):
hkl  Position (°2θ)  Rel. int.
1 2 1  27.81  29
0 2 2  28.92  60
2 1 -3  29.31  34
2 2 -2  29.64  55
1 1 2  30.29  73
3 1 -2  31.66  100
1 3 0  32.52  83
2 0 -4  35.66  28
3 1 0  36.53  29
1 3 4  59.14  26

Structure:
```
data_Pr3YPb
_chemical_formula_sum 'Pr12 Y4 Pb4'
_space_group_name_H-M_alt 'P 1 21/c 1'
_space_group_IT_number 14
_space_group_name_Hall '-P 2ybc'
_cell_length_a 8.985
_cell_length_b 8.847
_cell_length_c 10.082
_cell_angle_alpha 90.00
_cell_angle_beta 121.24
_cell_angle_gamma 90.00
loop_
_atom_site_label
_atom_site_type_symbol
_atom_site_fract_x
_atom_site_fract_y
_atom_site_fract_z
Pr1 Pr 0.094 0.088 0.303
Pr2 Pr 0.312 0.064 0.710
Pr3 Pr 0.404 0.704 0.939
Y1 Y 0.251 0.065 0.033
Pb1 Pb 0.097 0.746 0.037
```


Entry 7:
This entry pairs a crystal structure of PrY5Pb4 with its theoretical powder diffraction line list. Radiation: λ = 1.5418 Å (Cu Kα). Structure: a crystal structure in Alexandria, relaxed with GGA-PBE.
Peak positions follow from Bragg's law for the DFT cell and can differ from measured ones.

Main lines, in order of rising 2θ (10° ≤ 2θ ≤ 90°):
hkl  Position (°2θ)  Rel. int.
0 0 1  11.26  26
1 1 1  23.48  24
1 1 -2  29.47  100
6 0 -1  29.92  46
1 1 2  31.17  35
0 0 3  34.24  24
5 1 1  35.78  63
5 1 -2  35.95  48
0 2 0  39.12  39
5 1 4  62.16  25

Structure:
```
data_PrY5Pb4
_chemical_formula_sum 'Pr2 Y10 Pb8'
_space_group_name_H-M_alt 'C 1 2/m 1'
_space_group_IT_number 12
_space_group_name_Hall '-C 2y'
_cell_length_a 18.149
_cell_length_b 4.605
_cell_length_c 8.050
_cell_angle_alpha 90.00
_cell_angle_beta 102.63
_cell_angle_gamma 90.00
loop_
_atom_site_label
_atom_site_type_symbol
_atom_site_fract_x
_atom_site_fract_y
_atom_site_fract_z
Pr1 Pr 0.000 0.000 0.000
Y1 Y 0.000 0.000 0.500
Y2 Y 0.139 0.500 0.729
Y3 Y 0.208 0.500 0.312
Pb1 Pb 0.039 0.500 0.286
Pb2 Pb 0.186 0.000 0.017
```